Starting from a GGA-PBE-relaxed structure, the X-ray powder pattern of SiAg2 was calculated for Cu Kα.
Neutral-atom scattering factors, no anomalous dispersion.

Crystal structure
Unit cell a=5.597 b=9.487 c=8.886 alpha=90.00 beta=90.00 gamma=90.00
Space group Cmcm (No. 63)
Asymmetric unit:
Si (0.000, 0.172, 0.111) x8
Ag (0.000, 0.324, 0.750) x4
Ag (0.000, 0.500, 0.000) x4
Ag (0.244, 0.078, 0.750) x8

Main lines, low angle first (2θ = 10–90°):
18.41 deg, I 57, (1 1 0)
18.71 deg, I 32, (0 2 0)
19.98 deg, I 68, (0 0 2)
35.57 deg, I 30, (1 1 3)
38.00 deg, I 31, (2 0 2)
38.47 deg, I 60, (1 3 2)
38.71 deg, I 100, (2 2 1)
39.32 deg, I 63, (0 4 1)
40.61 deg, I 37, (0 0 4)
42.68 deg, I 72, (2 2 2)

=====

Starting from a GGA-PBE-relaxed structure, the X-ray powder pattern of Si3Ag was calculated for Cu Kα.
Neutral-atom scattering factors, no anomalous dispersion.

Crystal structure
Unit cell a=4.163 b=4.163 c=7.382 alpha=90.00 beta=90.00 gamma=90.00
Space group I4/mmm (No. 139)
Asymmetric unit:
Si (0.000, 0.000, 0.000) x2
Si (0.000, 0.500, 0.250) x4
Ag (0.000, 0.000, 0.500) x2

Main lines, low angle first (2θ = 10–90°):
24.11 deg, I 16, (0 0 2)
24.55 deg, I 61, (1 0 1)
30.36 deg, I 18, (1 1 0)
39.14 deg, I 100, (1 1 2)
42.69 deg, I 14, (1 0 3)
43.47 deg, I 37, (2 0 0)
49.39 deg, I 12, (0 0 4)
50.56 deg, I 17, (2 1 1)
67.87 deg, I 19, (2 0 4)
76.88 deg, I 26, (3 1 2)

=====

Starting from a GGA-PBE-relaxed structure, the X-ray powder pattern of SmSiAg was calculated for Cu Kα.
Neutral-atom scattering factors, no anomalous dispersion.

Crystal structure
Unit cell a=7.1873 b=7.1873 c=4.2689 alpha=90.00 beta=90.00 gamma=120.00
Space group P-62m (No. 189)
Asymmetric unit:
Sm (0.0000, 0.5841, 0.0000) x3
Si (0.0000, 0.0000, 0.0000) x1
Si (0.3333, 0.6667, 0.5000) x2
Ag (0.0000, 0.2488, 0.5000) x3

Main lines, low angle first (2θ = 10–90°):
24.77 deg, I 17, (1 1 0)
25.30 deg, I 19, (1 0 1)
32.57 deg, I 100, (1 1 1)
35.70 deg, I 64, (2 0 1)
38.26 deg, I 52, (2 1 0)
42.35 deg, I 23, (0 0 2)
53.05 deg, I 12, (3 1 0)
57.59 deg, I 29, (3 1 1)
58.38 deg, I 29, (2 1 2)
69.40 deg, I 17, (3 2 1)

=====

Starting from a GGA-PBE-relaxed structure, the X-ray powder pattern of SmSi2Ag2 was calculated for Cu Kα.
Neutral-atom scattering factors, no anomalous dispersion.

Crystal structure
Unit cell a=4.218 b=4.218 c=10.755 alpha=90.00 beta=90.00 gamma=90.00
Space group I4/mmm (No. 139)
Asymmetric unit:
Sm (0.000, 0.000, 0.000) x2
Si (0.000, 0.000, 0.392) x4
Ag (0.000, 0.500, 0.250) x4

Main lines, low angle first (2θ = 10–90°):
22.64 deg, I 20, (1 0 1)
32.79 deg, I 23, (1 0 3)
33.32 deg, I 19, (0 0 4)
34.38 deg, I 100, (1 1 2)
42.88 deg, I 33, (2 0 0)
47.44 deg, I 11, (1 0 5)
55.37 deg, I 17, (2 0 4)
60.23 deg, I 15, (1 1 6)
62.26 deg, I 11, (2 2 0)
73.10 deg, I 21, (3 1 2)

=====

Starting from a GGA-PBE-relaxed structure, the X-ray powder pattern of TmSiAg was calculated for Cu Kα.
Neutral-atom scattering factors, no anomalous dispersion.

Crystal structure
Unit cell a=7.0113 b=7.0113 c=4.1356 alpha=90.00 beta=90.00 gamma=120.00
Space group P-62m (No. 189)
Asymmetric unit:
Tm (0.0000, 0.5813, 0.0000) x3
Si (0.0000, 0.0000, 0.0000) x1
Si (0.3333, 0.6667, 0.5000) x2
Ag (0.0000, 0.2518, 0.5000) x3

Main lines, low angle first (2θ = 10–90°):
25.41 deg, I 20, (1 1 0)
26.07 deg, I 20, (1 0 1)
33.51 deg, I 100, (1 1 1)
36.72 deg, I 68, (2 0 1)
39.26 deg, I 50, (2 1 0)
43.78 deg, I 23, (0 0 2)
54.49 deg, I 15, (3 1 0)
59.24 deg, I 31, (3 1 1)
60.24 deg, I 28, (2 1 2)
71.46 deg, I 17, (3 2 1)

=====

Starting from a GGA-PBE-relaxed structure, the X-ray powder pattern of YSiAg was calculated for Cu Kα.
Neutral-atom scattering factors, no anomalous dispersion.

Crystal structure
Unit cell a=7.0802 b=7.0802 c=4.2160 alpha=90.00 beta=90.00 gamma=120.00
Space group P-62m (No. 189)
Asymmetric unit:
Y (0.0000, 0.4171, 0.0000) x3
Si (0.0000, 0.0000, 0.0000) x1
Si (0.3333, 0.6667, 0.5000) x2
Ag (0.0000, 0.7486, 0.5000) x3

Main lines, low angle first (2θ = 10–90°):
25.16 deg, I 14, (1 1 0)
25.64 deg, I 17, (1 0 1)
33.04 deg, I 100, (1 1 1)
36.23 deg, I 61, (2 0 1)
38.86 deg, I 57, (2 1 0)
42.90 deg, I 24, (0 0 2)
44.62 deg, I 15, (2 1 1)
58.52 deg, I 18, (3 1 1)
59.26 deg, I 31, (2 1 2)
70.58 deg, I 20, (3 2 1)